K2FeH4S2O10: computed PXRD pattern (CuKα), based on a PBE+U-relaxed structure.
Kinematic intensities with the Lorentz-polarization factor, no thermal factor.

Largest 10 diffraction maxima, in order of rising 2θ, 2θ = 10–80°:
hkl 0 0 1, 2θ = 13.01°, I 47; hkl 0 1 -1, 2θ = 15.44°, I 70; hkl 0 1 -2, 2θ = 24.22°, I 55; hkl 0 0 2, 2θ = 26.19°, I 25; hkl 1 1 0, 2θ = 26.64°, I 100; hkl 1 1 -2, 2θ = 29.37°, I 23; hkl 1 -2 0, 2θ = 30.18°, I 55; hkl 1 -1 2, 2θ = 30.42°, I 24; hkl 2 -1 0, 2θ = 33.32°, I 42; hkl -1 1 2, 2θ = 34.66°, I 24

Cell and atoms:
Unit cell a=5.4515 b=6.5875 c=7.5215 alpha=111.85 beta=95.94 gamma=104.94
Space group P-1 (No. 2)
Symmetry-distinct sites (fractional):
K (0.2238, 0.3165, 0.2376) x2
Fe (0.5000, 0.0000, 0.5000) x1
H (0.3391, 0.8310, 0.1043) x2
H (0.3627, 0.0504, 0.8200) x2
S (0.1356, 0.3130, 0.7219) x2
O (0.1072, 0.1562, 0.8253) x2
O (0.1189, 0.7382, 0.4099) x2
O (0.2261, 0.5582, 0.8622) x2
O (0.3331, 0.2737, 0.5960) x2
O (0.4683, 0.9754, 0.2027) x2